Diffraction record for InAgPt14. The powder X-ray diffraction pattern is theoretical, not measured: it uses DFT lattice parameters and positions (GGA-PBE) and a wavelength of 1.5418 Å.
Intensities are scaled so that the largest is 100.

Peak list (10 most intense, 2θ = 5–70°, sorted by position)
9.4°, d 9.392, I 3
37.0°, d 2.430, I 10
38.3°, d 2.353, I 37
38.3°, d 2.348, I 36
41.8°, d 2.159, I 100
47.4°, d 1.920, I 20
54.3°, d 1.689, I 7
62.5°, d 1.486, I 9
66.6°, d 1.404, I 15
66.7°, d 1.401, I 7

Crystal structure
Lattice parameters (Å, degrees): 9.392 5.617 5.617 59.87 90.00 90.00
Fractional positions:
In  0.000  0.000  0.000
Ag  0.000  0.501  0.501
Pt  0.000  0.001  0.502
Pt  0.000  0.502  0.001
Pt  0.249  0.166  0.166
Pt  0.250  0.666  0.666
Pt  0.252  0.165  0.665
Pt  0.252  0.665  0.165
Pt  0.500  0.329  0.329
Pt  0.500  0.330  0.830
Pt  0.500  0.829  0.829
Pt  0.500  0.830  0.330
Pt  0.748  0.165  0.665
Pt  0.748  0.665  0.165
Pt  0.750  0.666  0.666
Pt  0.751  0.166  0.166


Diffraction record for K3Er3ZnTe8. The powder X-ray diffraction pattern is theoretical, not measured: it uses DFT lattice parameters and positions (GGA-PBE) and a wavelength of 1.5418 Å.
Intensities are scaled so that the largest is 100.

Peak list (10 most intense, 2θ = 5–70°, sorted by position)
10.4°, d 8.490, I 84
23.9°, d 3.727, I 13
27.6°, d 3.236, I 100
27.7°, d 3.224, I 40
34.3°, d 2.612, I 30
36.8°, d 2.440, I 29
37.4°, d 2.402, I 22
41.2°, d 2.189, I 15
41.9°, d 2.154, I 28
45.9°, d 1.979, I 14

Crystal structure
Lattice parameters (Å, degrees): 8.619 8.619 9.776 115.28 115.28 61.06
Fractional positions:
K  0.000  0.000  0.000
K  0.000  0.500  0.000
K  0.500  0.000  0.000
Er  0.000  0.500  0.500
Er  0.500  0.000  0.500
Er  0.500  0.500  0.500
Zn  0.000  0.000  0.500
Te  0.201  0.201  0.679
Te  0.261  0.700  0.722
Te  0.262  0.262  0.290
Te  0.300  0.739  0.278
Te  0.700  0.261  0.722
Te  0.738  0.738  0.710
Te  0.739  0.300  0.278
Te  0.799  0.799  0.321


Diffraction record for KTl6Te4. The powder X-ray diffraction pattern is theoretical, not measured: it uses DFT lattice parameters and positions (GGA-PBE) and a wavelength of 1.5418 Å.
Intensities are scaled so that the largest is 100.

Peak list (10 most intense, 2θ = 5–70°, sorted by position)
20.6°, d 4.305, I 45
24.7°, d 3.608, I 45
27.1°, d 3.291, I 92
28.3°, d 3.154, I 35
33.4°, d 2.684, I 100
33.5°, d 2.677, I 33
35.2°, d 2.551, I 75
49.4°, d 1.846, I 29
50.6°, d 1.804, I 23
62.0°, d 1.496, I 30

Crystal structure
Lattice parameters (Å, degrees): 7.216 7.216 9.506 112.25 112.25 89.92
Fractional positions:
K  0.000  0.000  0.000
Tl  0.001  0.500  0.000
Tl  0.110  0.551  0.660
Tl  0.450  0.450  0.341
Tl  0.500  0.001  0.000
Tl  0.551  0.110  0.660
Tl  0.890  0.890  0.340
Te  0.125  0.125  0.729
Te  0.396  0.874  0.270
Te  0.604  0.604  0.730
Te  0.874  0.396  0.270


Diffraction record for Ga2Ni7Pt2Rh. The powder X-ray diffraction pattern is theoretical, not measured: it uses DFT lattice parameters and positions (GGA-PBE) and a wavelength of 1.5418 Å.
Intensities are scaled so that the largest is 100.

Peak list (10 most intense, 2θ = 5–70°, sorted by position)
22.7°, d 3.922, I 18
28.8°, d 3.100, I 21
34.9°, d 2.573, I 25
35.7°, d 2.514, I 15
41.9°, d 2.158, I 100
42.0°, d 2.152, I 56
46.3°, d 1.961, I 29
50.0°, d 1.824, I 37
52.5°, d 1.742, I 17
55.6°, d 1.654, I 24

Crystal structure
Lattice parameters (Å, degrees): 3.647 3.647 11.767 90.00 90.00 90.26
Fractional positions:
Ga  0.000  0.000  0.185
Ga  0.000  0.000  0.815
Ni  0.000  0.500  0.349
Ni  0.000  0.500  0.651
Ni  0.245  0.755  0.000
Ni  0.500  0.000  0.349
Ni  0.500  0.000  0.651
Ni  0.500  0.500  0.500
Ni  0.755  0.245  0.000
Pt  0.500  0.500  0.185
Pt  0.500  0.500  0.815
Rh  0.000  0.000  0.500


Diffraction record for Cs3TlAu2Br6. The powder X-ray diffraction pattern is theoretical, not measured: it uses DFT lattice parameters and positions (GGA-PBE) and a wavelength of 1.5418 Å.
Intensities are scaled so that the largest is 100.

Peak list (10 most intense, 2θ = 5–70°, sorted by position)
9.2°, d 9.594, I 38
15.0°, d 5.912, I 48
20.5°, d 4.334, I 100
22.0°, d 4.042, I 58
30.2°, d 2.956, I 82
30.4°, d 2.942, I 32
36.8°, d 2.442, I 38
41.7°, d 2.167, I 52
42.6°, d 2.122, I 29
52.4°, d 1.746, I 31

Crystal structure
Lattice parameters (Å, degrees): 8.667 8.667 9.594 90.00 90.00 120.00
Fractional positions:
Cs  0.000  0.000  0.000
Cs  0.333  0.667  0.655
Cs  0.667  0.333  0.345
Tl  0.000  0.000  0.500
Au  0.333  0.667  0.272
Au  0.667  0.333  0.728
Br  0.162  0.324  0.279
Br  0.162  0.838  0.279
Br  0.324  0.162  0.721
Br  0.676  0.838  0.279
Br  0.838  0.162  0.721
Br  0.838  0.676  0.721


Diffraction record for SiRu2Au2. The powder X-ray diffraction pattern is theoretical, not measured: it uses DFT lattice parameters and positions (GGA-PBE) and a wavelength of 1.5418 Å.
Intensities are scaled so that the largest is 100.

Peak list (10 most intense, 2θ = 5–70°, sorted by position)
20.2°, d 4.392, I 7
20.6°, d 4.313, I 13
29.3°, d 3.050, I 13
35.8°, d 2.505, I 12
38.9°, d 2.317, I 100
41.1°, d 2.196, I 21
47.1°, d 1.929, I 16
64.3°, d 1.449, I 13
64.9°, d 1.438, I 8
66.7°, d 1.402, I 15

Crystal structure
Lattice parameters (Å, degrees): 6.099 6.099 4.392 90.00 90.00 90.00
Fractional positions:
Si  0.000  0.000  0.000
Si  0.500  0.500  0.000
Ru  0.141  0.359  0.000
Ru  0.359  0.859  0.000
Ru  0.641  0.141  0.000
Ru  0.859  0.641  0.000
Au  0.170  0.670  0.500
Au  0.330  0.170  0.500
Au  0.670  0.830  0.500
Au  0.830  0.330  0.500


Diffraction record for PmPaTe2C. The powder X-ray diffraction pattern is theoretical, not measured: it uses DFT lattice parameters and positions (GGA-PBE) and a wavelength of 1.5418 Å.
Intensities are scaled so that the largest is 100.

Peak list (10 most intense, 2θ = 5–70°, sorted by position)
5.4°, d 16.270, I 28
10.9°, d 8.135, I 23
21.9°, d 4.067, I 17
27.0°, d 3.302, I 61
30.4°, d 2.943, I 100
35.0°, d 2.563, I 87
37.7°, d 2.384, I 20
43.5°, d 2.081, I 40
51.9°, d 1.760, I 21
57.0°, d 1.616, I 43

Crystal structure
Lattice parameters (Å, degrees): 4.162 4.162 16.270 90.00 90.00 90.00
Fractional positions:
Pm  0.250  0.250  0.140
Pm  0.750  0.750  0.860
Pa  0.250  0.250  0.566
Pa  0.750  0.750  0.434
Te  0.250  0.250  0.323
Te  0.250  0.250  0.919
Te  0.750  0.750  0.081
Te  0.750  0.750  0.677
C  0.250  0.750  0.500
C  0.750  0.250  0.500


Diffraction record for KCeAg2F8. The powder X-ray diffraction pattern is theoretical, not measured: it uses DFT lattice parameters and positions (GGA-PBE) and a wavelength of 1.5418 Å.
Intensities are scaled so that the largest is 100.

Peak list (10 most intense, 2θ = 5–70°, sorted by position)
19.7°, d 4.505, I 100
27.7°, d 3.219, I 56
28.3°, d 3.153, I 37
40.0°, d 2.253, I 28
44.6°, d 2.032, I 24
45.4°, d 1.998, I 21
49.0°, d 1.859, I 11
49.4°, d 1.846, I 19
57.2°, d 1.610, I 11
58.5°, d 1.577, I 10

Crystal structure
Lattice parameters (Å, degrees): 6.438 6.438 7.647 90.00 90.00 120.00
Fractional positions:
K  0.000  0.000  0.000
Ce  0.000  0.000  0.500
Ag  0.333  0.667  0.183
Ag  0.667  0.333  0.817
F  0.149  0.298  0.315
F  0.149  0.851  0.315
F  0.298  0.149  0.685
F  0.333  0.667  0.913
F  0.667  0.333  0.087
F  0.702  0.851  0.315
F  0.851  0.149  0.685
F  0.851  0.702  0.685